Structure and simulated XRD peak list of K3Cu2Bi5S10 (a structure optimized by DFT (GGA-PBE); Cu Kα, 1.54184 Å).

Peak list (10 most intense, 2θ from 10° to 90°, sorted by position)
2θ (°)  d_spacing  I_rel  hkl
12.3  7.204  100  2 0 0
23.3  3.811  83  2 4 0
24.7  3.602  39  4 0 0
27.3  3.269  89  1 3 1
29.3  3.053  35  3 1 1
30.5  2.929  57  3 2 1
32.4  2.764  49  2 6 0
32.5  2.751  71  3 3 1
41.3  2.187  31  5 3 1
43.5  2.081  39  5 4 1

Structure:
```
K3Cu2Bi5S10
1.0
14.4079 0.0000 0.0000
0.0000 17.9560 0.0000
0.0000 0.0000 4.0549
K Cu Bi S
6 4 10 20
Direct
0.0000 0.0000 0.0000
0.0250 0.2553 0.5000
0.4750 0.7553 0.0000
0.5000 0.5000 0.5000
0.5250 0.2447 0.0000
0.9750 0.7447 0.5000
0.2187 0.7488 0.0000
0.2813 0.2488 0.5000
0.7187 0.7512 0.5000
0.7813 0.2512 0.0000
0.0000 0.5000 0.0000
0.2198 0.5964 0.5000
0.2315 0.8957 0.5000
0.2685 0.3957 0.0000
0.2802 0.0964 0.0000
0.5000 0.0000 0.5000
0.7198 0.9036 0.0000
0.7315 0.6043 0.0000
0.7685 0.1043 0.5000
0.7802 0.4036 0.5000
0.0944 0.6391 0.0000
0.1178 0.8510 0.0000
0.1238 0.4475 0.5000
0.1629 0.0355 0.5000
0.1999 0.2334 0.0000
0.3001 0.7334 0.5000
0.3371 0.5355 0.0000
0.3762 0.9475 0.0000
0.3822 0.3510 0.5000
0.4056 0.1391 0.5000
0.5944 0.8609 0.5000
0.6178 0.6490 0.5000
0.6238 0.0525 0.0000
0.6629 0.4645 0.0000
0.6999 0.2666 0.5000
0.8001 0.7666 0.0000
0.8371 0.9645 0.5000
0.8762 0.5525 0.5000
0.8822 0.1490 0.0000
0.9056 0.3609 0.0000
```